(1)
TlHPd2Au: calculated XRD peak list (Cu Kα, 1.54184 Å), based on DFT lattice parameters and positions (GGA-PBE).
Neutral-atom scattering factors, no anomalous dispersion.

Most intense lines, 2θ from 10° to 90°, most intense first:
| 2theta | I/Imax |
| --- | --- |
| 37.1 | 100 |
| 43.4 | 32 |
| 75.5 | 25 |
| 62.3 | 22 |
| 42.4 | 17 |
| 74.1 | 13 |
| 79.0 | 11 |
| 63.1 | 11 |
| 20.8 | 8 |
| 30.3 | 7 |

Crystal structure
```
TlHPd2Au
1.0
4.1679 0.0000 0.0000
0.0000 4.1679 0.0000
0.0000 0.0000 4.2614
Tl H Pd Au
1 1 2 1
Direct
0.0000 0.0000 0.0000
0.5000 0.5000 0.5000
0.0000 0.5000 0.5000
0.5000 0.0000 0.5000
0.5000 0.5000 0.0000
```

***

(2)
Pm2H2Au: calculated XRD peak list (Cu Kα, 1.54184 Å), based on DFT lattice parameters and positions (GGA-PBE).
Neutral-atom scattering factors, no anomalous dispersion.

Most intense lines, 2θ from 10° to 90°, most intense first:
| 2theta | I/Imax |
| --- | --- |
| 31.8 | 100 |
| 33.9 | 47 |
| 59.4 | 34 |
| 48.8 | 17 |
| 55.3 | 15 |
| 42.8 | 14 |
| 13.8 | 12 |
| 66.5 | 8 |
| 42.3 | 8 |
| 81.5 | 8 |

Crystal structure
```
Pm2H2Au
1.0
3.7357 0.0000 0.0000
0.0000 3.7357 0.0000
0.0000 0.0000 12.8252
Pm H Au
4 4 2
Direct
0.0000 0.0000 0.1436
0.0000 0.0000 0.8564
0.5000 0.5000 0.3564
0.5000 0.5000 0.6436
0.0000 0.5000 0.2500
0.0000 0.5000 0.7500
0.5000 0.0000 0.2500
0.5000 0.0000 0.7500
0.0000 0.0000 0.5000
0.5000 0.5000 0.0000
```

***

(3)
Pm2HAu: calculated XRD peak list (Cu Kα, 1.54184 Å), based on DFT lattice parameters and positions (GGA-PBE).
Neutral-atom scattering factors, no anomalous dispersion.

Most intense lines, 2θ from 10° to 90°, most intense first:
| 2theta | I/Imax |
| --- | --- |
| 29.9 | 100 |
| 37.2 | 59 |
| 47.8 | 29 |
| 62.7 | 19 |
| 57.4 | 16 |
| 38.0 | 14 |
| 62.1 | 13 |
| 77.8 | 13 |
| 82.0 | 12 |
| 12.5 | 12 |

Crystal structure
```
Pm2HAu
1.0
3.8066 0.0000 0.0000
-1.9033 3.2966 0.0000
0.0000 0.0000 7.0948
Pm H Au
2 1 1
Direct
0.3333 0.6667 0.2020
0.6667 0.3333 0.7980
0.0000 0.0000 0.0000
0.0000 0.0000 0.5000
```

***

(4)
PmH3Au: calculated XRD peak list (Cu Kα, 1.54184 Å), based on DFT lattice parameters and positions (GGA-PBE).
Neutral-atom scattering factors, no anomalous dispersion.

Most intense lines, 2θ from 10° to 90°, most intense first:
| 2theta | I/Imax |
| --- | --- |
| 31.4 | 100 |
| 31.7 | 72 |
| 33.9 | 64 |
| 34.2 | 56 |
| 29.9 | 55 |
| 44.1 | 40 |
| 26.6 | 25 |
| 41.6 | 22 |
| 67.1 | 21 |
| 56.3 | 19 |

Crystal structure
```
PmH3Au
1.0
6.6102 0.0000 0.0000
0.0000 5.6442 0.0000
0.0000 0.0000 6.7004
Pm H Au
4 12 4
Direct
0.1811 0.2500 0.1339
0.3189 0.7500 0.6339
0.6811 0.2500 0.3661
0.8189 0.7500 0.8661
0.0244 0.2500 0.4379
0.1175 0.5117 0.8524
0.1175 0.9883 0.8524
0.3825 0.0117 0.3524
0.3825 0.4883 0.3524
0.4756 0.7500 0.9379
0.5244 0.2500 0.0621
0.6175 0.5117 0.6476
0.6175 0.9883 0.6476
0.8825 0.0117 0.1476
0.8825 0.4883 0.1476
0.9756 0.7500 0.5621
0.0816 0.2500 0.6910
0.4184 0.7500 0.1910
0.5816 0.2500 0.8090
0.9184 0.7500 0.3090
```

***

(5)
PmHAu2: calculated XRD peak list (Cu Kα, 1.54184 Å), based on DFT lattice parameters and positions (GGA-PBE).
Neutral-atom scattering factors, no anomalous dispersion.

Most intense lines, 2θ from 10° to 90°, most intense first:
| 2theta | I/Imax |
| --- | --- |
| 33.6 | 100 |
| 39.3 | 57 |
| 64.8 | 35 |
| 36.2 | 34 |
| 36.4 | 33 |
| 46.2 | 29 |
| 37.7 | 22 |
| 62.3 | 21 |
| 42.6 | 21 |
| 29.5 | 21 |

Crystal structure
```
PmHAu2
1.0
3.9308 0.0000 0.0000
0.0000 7.8424 0.0000
-1.9309 0.0000 4.7762
Pm H Au
2 2 4
Direct
0.0601 0.2500 0.1268
0.9399 0.7500 0.8732
0.3376 0.7500 0.6646
0.6624 0.2500 0.3354
0.3545 0.0527 0.7106
0.3545 0.4473 0.7106
0.6455 0.5527 0.2894
0.6455 0.9473 0.2894
```

***

(6)
PmH7Ru2Au: calculated XRD peak list (Cu Kα, 1.54184 Å), based on DFT lattice parameters and positions (GGA-PBE).
Neutral-atom scattering factors, no anomalous dispersion.

Most intense lines, 2θ from 10° to 90°, most intense first:
| 2theta | I/Imax |
| --- | --- |
| 29.5 | 100 |
| 37.0 | 89 |
| 36.6 | 87 |
| 25.1 | 60 |
| 50.1 | 37 |
| 63.9 | 36 |
| 59.2 | 28 |
| 68.0 | 26 |
| 41.5 | 22 |
| 69.1 | 21 |

Crystal structure
```
PmH7Ru2Au
1.0
-1.8201 1.8201 8.1697
1.8201 -1.8201 8.1697
1.8201 1.8201 -8.1697
Pm H Ru Au
1 7 2 1
Direct
0.0000 0.0000 0.0000
0.1098 0.6098 0.5000
0.2846 0.2846 0.0000
0.3902 0.8902 0.5000
0.5000 0.5000 0.0000
0.6012 0.1012 0.5000
0.7154 0.7154 0.0000
0.8988 0.3988 0.5000
0.3917 0.3917 0.0000
0.6083 0.6083 0.0000
0.7500 0.2500 0.5000
```

***

(7)
PmSbHAu: calculated XRD peak list (Cu Kα, 1.54184 Å), based on DFT lattice parameters and positions (GGA-PBE).
Neutral-atom scattering factors, no anomalous dispersion.

Most intense lines, 2θ from 10° to 90°, most intense first:
| 2theta | I/Imax |
| --- | --- |
| 30.0 | 100 |
| 39.9 | 49 |
| 46.0 | 24 |
| 50.7 | 24 |
| 66.4 | 21 |
| 57.3 | 11 |
| 76.7 | 11 |
| 62.4 | 9 |
| 65.7 | 9 |
| 72.4 | 9 |

Crystal structure
```
PmSbHAu
1.0
4.5217 0.0000 0.0000
-2.2608 3.9159 0.0000
0.0000 0.0000 4.5726
Pm Sb H Au
1 1 1 1
Direct
0.0000 0.0000 0.0000
0.6667 0.3333 0.5756
0.3333 0.6667 0.0039
0.3333 0.6667 0.3862
```

***

(8)
PrHAu: calculated XRD peak list (Cu Kα, 1.54184 Å), based on DFT lattice parameters and positions (GGA-PBE).
Neutral-atom scattering factors, no anomalous dispersion.

Most intense lines, 2θ from 10° to 90°, most intense first:
| 2theta | I/Imax |
| --- | --- |
| 31.2 | 100 |
| 34.1 | 80 |
| 31.9 | 42 |
| 45.6 | 29 |
| 35.3 | 27 |
| 44.0 | 26 |
| 55.4 | 26 |
| 13.0 | 26 |
| 38.9 | 23 |
| 54.6 | 20 |

Crystal structure
```
PrHAu
1.0
4.0261 0.0000 0.0000
0.0000 4.1164 0.0000
-1.0076 0.0000 6.8254
Pr H Au
2 2 2
Direct
0.2040 0.2500 0.3124
0.7960 0.7500 0.6876
0.2503 0.7500 0.4976
0.7497 0.2500 0.5024
0.3471 0.2500 0.8704
0.6529 0.7500 0.1296
```

***

(9)
PrH7Rh2Au: calculated XRD peak list (Cu Kα, 1.54184 Å), based on DFT lattice parameters and positions (GGA-PBE).
Neutral-atom scattering factors, no anomalous dispersion.

Most intense lines, 2θ from 10° to 90°, most intense first:
| 2theta | I/Imax |
| --- | --- |
| 29.3 | 100 |
| 35.6 | 84 |
| 37.5 | 80 |
| 24.3 | 62 |
| 48.3 | 39 |
| 62.7 | 35 |
| 57.5 | 30 |
| 70.0 | 30 |
| 41.0 | 25 |
| 69.4 | 21 |

Crystal structure
```
PrH7Rh2Au
1.0
-1.8849 1.8849 7.7790
1.8849 -1.8849 7.7790
1.8849 1.8849 -7.7790
Pr H Rh Au
1 7 2 1
Direct
0.0000 0.0000 0.0000
0.1111 0.6111 0.5000
0.2747 0.2747 0.0000
0.3889 0.8889 0.5000
0.5000 0.5000 0.0000
0.6129 0.1129 0.5000
0.7253 0.7253 0.0000
0.8871 0.3871 0.5000
0.3892 0.3892 0.0000
0.6108 0.6108 0.0000
0.7500 0.2500 0.5000
```

***

(10)
H6Pt2Au: calculated XRD peak list (Cu Kα, 1.54184 Å), based on DFT lattice parameters and positions (GGA-PBE).
Neutral-atom scattering factors, no anomalous dispersion.

Most intense lines, 2θ from 10° to 90°, most intense first:
| 2theta | I/Imax |
| --- | --- |
| 26.5 | 100 |
| 34.2 | 49 |
| 43.0 | 49 |
| 36.6 | 45 |
| 16.6 | 30 |
| 27.4 | 28 |
| 42.2 | 27 |
| 44.5 | 23 |
| 36.4 | 22 |
| 18.0 | 21 |

Crystal structure
```
H6Pt2Au
1.0
3.3866 0.0000 0.0000
0.5601 5.0618 0.0000
0.0056 1.3100 5.3445
H Pt Au
6 2 1
Direct
0.0154 0.4133 0.2720
0.4122 0.8908 0.7266
0.4638 0.7066 0.4193
0.5362 0.2934 0.5807
0.5878 0.1092 0.2734
0.9846 0.5867 0.7280
0.4906 0.5484 0.7472
0.5094 0.4516 0.2528
0.5000 0.0000 0.0000
```

***

(11)
Tl2H6PtAu: calculated XRD peak list (Cu Kα, 1.54184 Å), based on DFT lattice parameters and positions (GGA-PBE).
Neutral-atom scattering factors, no anomalous dispersion.

Most intense lines, 2θ from 10° to 90°, most intense first:
| 2theta | I/Imax |
| --- | --- |
| 30.7 | 100 |
| 35.0 | 36 |
| 60.1 | 31 |
| 51.5 | 23 |
| 36.6 | 15 |
| 50.3 | 13 |
| 62.3 | 13 |
| 63.8 | 12 |
| 84.0 | 8 |
| 84.5 | 6 |

Crystal structure
```
Tl2H6PtAu
1.0
3.6282 -3.6243 0.0000
3.6282 3.6243 0.0000
-3.6247 0.0000 4.9086
Tl H Pt Au
2 6 1 1
Direct
0.2488 0.7512 0.0000
0.7512 0.2488 0.0000
0.1765 0.1765 0.8452
0.2395 0.7171 0.4574
0.2399 0.2399 0.4562
0.6428 0.6428 0.7798
0.7161 0.7161 0.4544
0.7171 0.2395 0.4574
0.4758 0.4758 0.4515
0.9940 0.9940 0.4884
```